Starting from a cell relaxed with PBE, the powder X-ray diffraction pattern of K3GaTe3 was computed for Cu Kα, 1.54184 Å.

The 10 most intense peaks (2θ from 15° to 90°), by intensity:
2theta  d_spacing  I/Imax
26.54  3.358  100
32.23  2.778  72
24.76  3.595  65
21.80  4.078  63
18.08  4.906  62
27.23  3.276  57
20.71  4.288  52
27.69  3.222  51
25.48  3.495  42
33.60  2.668  39

Cell and atoms:
```
data_K3GaTe3
_symmetry_space_group_name_H-M 'P 1'
_symmetry_Int_Tables_number 1
_cell_length_a 8.7330
_cell_length_b 13.9088
_cell_length_c 11.4060
_cell_angle_alpha 90.00
_cell_angle_beta 127.57
_cell_angle_gamma 90.00
loop_
_symmetry_equiv_pos_as_xyz
'x,y,z'
loop_
_atom_site_label
_atom_site_type_symbol
_atom_site_fract_x
_atom_site_fract_y
_atom_site_fract_z
_atom_site_occupancy
K1 K 0.1230 0.1893 0.4093 1
K2 K 0.1230 0.3107 0.9093 1
K3 K 0.3359 0.5939 0.1004 1
K4 K 0.3359 0.9061 0.6004 1
K5 K 0.3641 0.6162 0.5245 1
K6 K 0.3641 0.8838 0.0245 1
K7 K 0.6359 0.1162 0.9755 1
K8 K 0.6359 0.3838 0.4755 1
K9 K 0.6641 0.0939 0.3996 1
K10 K 0.6641 0.4061 0.8996 1
K11 K 0.8770 0.6893 0.0907 1
K12 K 0.8770 0.8107 0.5907 1
Ga1 Ga 0.0665 0.5639 0.6657 1
Ga2 Ga 0.0665 0.9361 0.1657 1
Ga3 Ga 0.9335 0.0639 0.8343 1
Ga4 Ga 0.9335 0.4361 0.3343 1
Te1 Te 0.1324 0.0544 0.7314 1
Te2 Te 0.1324 0.4456 0.2314 1
Te3 Te 0.1648 0.1107 0.1286 1
Te4 Te 0.1648 0.3893 0.6286 1
Te5 Te 0.3582 0.6858 0.8158 1
Te6 Te 0.3582 0.8142 0.3158 1
Te7 Te 0.6418 0.1858 0.6842 1
Te8 Te 0.6418 0.3142 0.1842 1
Te9 Te 0.8352 0.6107 0.3714 1
Te10 Te 0.8352 0.8893 0.8714 1
Te11 Te 0.8676 0.5544 0.7686 1
Te12 Te 0.8676 0.9456 0.2686 1
```

=====

Starting from a cell relaxed with PBE, the powder X-ray diffraction pattern of LaGa2 was computed for Cu Kα, 1.54184 Å.

The 10 most intense peaks (2θ from 15° to 90°), by intensity:
2theta  d_spacing  I/Imax
31.18  2.868  100
41.73  2.164  41
59.56  1.552  28
53.00  1.728  22
69.63  1.350  19
40.51  2.227  15
67.91  1.380  10
23.73  3.749  9
76.18  1.250  7
82.97  1.164  6

Cell and atoms:
```
data_LaGa2
_symmetry_space_group_name_H-M 'P 1'
_symmetry_Int_Tables_number 1
_cell_length_a 4.3289
_cell_length_b 4.3289
_cell_length_c 4.4538
_cell_angle_alpha 90.00
_cell_angle_beta 90.00
_cell_angle_gamma 120.00
loop_
_symmetry_equiv_pos_as_xyz
'x,y,z'
loop_
_atom_site_label
_atom_site_type_symbol
_atom_site_fract_x
_atom_site_fract_y
_atom_site_fract_z
_atom_site_occupancy
La1 La 0.0000 0.0000 0.0000 1
Ga1 Ga 0.3333 0.6667 0.5000 1
Ga2 Ga 0.6667 0.3333 0.5000 1
```

=====

Starting from a cell relaxed with PBE, the powder X-ray diffraction pattern of LaGa was computed for Cu Kα, 1.54184 Å.

The 10 most intense peaks (2θ from 15° to 90°), by intensity:
2theta  d_spacing  I/Imax
29.72  3.006  100
37.05  2.426  57
30.24  2.955  52
39.44  2.285  28
25.98  3.430  24
30.76  2.906  23
42.56  2.124  23
37.49  2.399  22
53.09  1.725  21
70.00  1.344  17

Cell and atoms:
```
data_LaGa
_symmetry_space_group_name_H-M 'P 1'
_symmetry_Int_Tables_number 1
_cell_length_a 6.2456
_cell_length_b 6.2456
_cell_length_c 4.2485
_cell_angle_alpha 90.00
_cell_angle_beta 90.00
_cell_angle_gamma 137.09
loop_
_symmetry_equiv_pos_as_xyz
'x,y,z'
loop_
_atom_site_label
_atom_site_type_symbol
_atom_site_fract_x
_atom_site_fract_y
_atom_site_fract_z
_atom_site_occupancy
La1 La 0.1396 0.8604 0.7500 1
La2 La 0.8604 0.1396 0.2500 1
Ga1 Ga 0.4326 0.5674 0.7500 1
Ga2 Ga 0.5674 0.4326 0.2500 1
```

=====

Starting from a cell relaxed with PBE, the powder X-ray diffraction pattern of La5Ga3 was computed for Cu Kα, 1.54184 Å.

The 10 most intense peaks (2θ from 15° to 90°), by intensity:
2theta  d_spacing  I/Imax
30.64  2.918  100
35.07  2.558  43
32.79  2.731  37
49.99  1.824  26
64.83  1.438  17
31.27  2.860  15
25.34  3.515  14
54.10  1.695  14
36.40  2.468  11
46.70  1.945  11

Cell and atoms:
```
data_La5Ga3
_symmetry_space_group_name_H-M 'P 1'
_symmetry_Int_Tables_number 1
_cell_length_a 8.0904
_cell_length_b 8.0904
_cell_length_c 14.8086
_cell_angle_alpha 90.00
_cell_angle_beta 90.00
_cell_angle_gamma 90.00
loop_
_symmetry_equiv_pos_as_xyz
'x,y,z'
loop_
_atom_site_label
_atom_site_type_symbol
_atom_site_fract_x
_atom_site_fract_y
_atom_site_fract_z
_atom_site_occupancy
La1 La 0.0656 0.5889 0.1018 1
La2 La 0.0656 0.9111 0.6018 1
La3 La 0.0889 0.5656 0.3982 1
La4 La 0.0889 0.9344 0.8982 1
La5 La 0.2500 0.2500 0.2193 1
La6 La 0.2500 0.2500 0.7193 1
La7 La 0.4111 0.5656 0.8982 1
La8 La 0.4111 0.9344 0.3982 1
La9 La 0.4344 0.5889 0.6018 1
La10 La 0.4344 0.9111 0.1018 1
La11 La 0.5656 0.0889 0.8982 1
La12 La 0.5656 0.4111 0.3982 1
La13 La 0.5889 0.0656 0.6018 1
La14 La 0.5889 0.4344 0.1018 1
La15 La 0.7500 0.7500 0.2807 1
La16 La 0.7500 0.7500 0.7807 1
La17 La 0.9111 0.0656 0.1018 1
La18 La 0.9111 0.4344 0.6018 1
La19 La 0.9344 0.0889 0.3982 1
La20 La 0.9344 0.4111 0.8982 1
Ga1 Ga 0.1329 0.6329 0.7500 1
Ga2 Ga 0.1329 0.8671 0.2500 1
Ga3 Ga 0.2500 0.2500 0.0045 1
Ga4 Ga 0.2500 0.2500 0.5045 1
Ga5 Ga 0.3671 0.6329 0.2500 1
Ga6 Ga 0.3671 0.8671 0.7500 1
Ga7 Ga 0.6329 0.1329 0.2500 1
Ga8 Ga 0.6329 0.3671 0.7500 1
Ga9 Ga 0.7500 0.7500 0.4955 1
Ga10 Ga 0.7500 0.7500 0.9955 1
Ga11 Ga 0.8671 0.1329 0.7500 1
Ga12 Ga 0.8671 0.3671 0.2500 1
```

=====

Starting from a cell relaxed with PBE, the powder X-ray diffraction pattern of LaMg14Ga was computed for Cu Kα, 1.54184 Å.

The 10 most intense peaks (2θ from 15° to 90°), by intensity:
2theta  d_spacing  I/Imax
36.63  2.454  100
35.66  2.518  57
34.66  2.588  39
32.12  2.786  33
17.61  5.035  30
67.48  1.388  23
15.38  5.762  21
47.97  1.896  21
17.13  5.177  18
63.40  1.467  18

Cell and atoms:
```
data_LaMg14Ga
_symmetry_space_group_name_H-M 'P 1'
_symmetry_Int_Tables_number 1
_cell_length_a 10.3535
_cell_length_b 6.5832
_cell_length_c 6.5832
_cell_angle_alpha 57.84
_cell_angle_beta 90.00
_cell_angle_gamma 90.00
loop_
_symmetry_equiv_pos_as_xyz
'x,y,z'
loop_
_atom_site_label
_atom_site_type_symbol
_atom_site_fract_x
_atom_site_fract_y
_atom_site_fract_z
_atom_site_occupancy
La1 La 0.0000 0.0000 0.0000 1
Mg1 Mg 0.0000 0.0094 0.4945 1
Mg2 Mg 0.0000 0.4945 0.0094 1
Mg3 Mg 0.2311 0.6475 0.6475 1
Mg4 Mg 0.2579 0.1560 0.6490 1
Mg5 Mg 0.2579 0.6490 0.1560 1
Mg6 Mg 0.2630 0.1581 0.1581 1
Mg7 Mg 0.5000 0.4924 0.4924 1
Mg8 Mg 0.5000 0.4946 0.9830 1
Mg9 Mg 0.5000 0.9830 0.4946 1
Mg10 Mg 0.5000 0.9890 0.9890 1
Mg11 Mg 0.7370 0.1581 0.1581 1
Mg12 Mg 0.7422 0.1560 0.6490 1
Mg13 Mg 0.7422 0.6490 0.1560 1
Mg14 Mg 0.7689 0.6475 0.6475 1
Ga1 Ga 0.0000 0.4700 0.4700 1
```

=====

Starting from a cell relaxed with PBE, the powder X-ray diffraction pattern of LaMg14Ga was computed for Cu Kα, 1.54184 Å.

The 10 most intense peaks (2θ from 15° to 90°), by intensity:
2theta  d_spacing  I/Imax
36.13  2.486  100
15.64  5.665  38
23.25  3.826  32
31.58  2.833  29
34.58  2.594  24
67.73  1.383  19
47.53  1.913  18
62.98  1.476  18
56.25  1.635  17
68.70  1.366  14

Cell and atoms:
```
data_LaMg14Ga
_symmetry_space_group_name_H-M 'P 1'
_symmetry_Int_Tables_number 1
_cell_length_a 6.5418
_cell_length_b 6.5418
_cell_length_c 10.3753
_cell_angle_alpha 90.00
_cell_angle_beta 90.00
_cell_angle_gamma 120.00
loop_
_symmetry_equiv_pos_as_xyz
'x,y,z'
loop_
_atom_site_label
_atom_site_type_symbol
_atom_site_fract_x
_atom_site_fract_y
_atom_site_fract_z
_atom_site_occupancy
La1 La 0.0000 0.0000 0.0000 1
Mg1 Mg 0.0146 0.5073 0.0000 1
Mg2 Mg 0.1673 0.3346 0.2611 1
Mg3 Mg 0.1673 0.3346 0.7389 1
Mg4 Mg 0.1673 0.8327 0.2611 1
Mg5 Mg 0.1673 0.8327 0.7389 1
Mg6 Mg 0.4927 0.5073 0.0000 1
Mg7 Mg 0.4927 0.9854 0.0000 1
Mg8 Mg 0.5028 0.0057 0.5000 1
Mg9 Mg 0.5028 0.4972 0.5000 1
Mg10 Mg 0.6654 0.8327 0.2611 1
Mg11 Mg 0.6654 0.8327 0.7389 1
Mg12 Mg 0.6667 0.3333 0.2396 1
Mg13 Mg 0.6667 0.3333 0.7604 1
Mg14 Mg 0.9943 0.4972 0.5000 1
Ga1 Ga 0.0000 0.0000 0.5000 1
```

=====

Starting from a cell relaxed with PBE, the powder X-ray diffraction pattern of LaMgGa was computed for Cu Kα, 1.54184 Å.

The 10 most intense peaks (2θ from 15° to 90°), by intensity:
2theta  d_spacing  I/Imax
33.41  2.682  100
30.44  2.937  78
41.16  2.193  32
27.09  3.292  28
53.99  1.698  27
38.94  2.313  26
36.10  2.488  24
23.40  3.801  22
19.19  4.626  20
64.94  1.436  20

Cell and atoms:
```
data_LaMgGa
_symmetry_space_group_name_H-M 'P 1'
_symmetry_Int_Tables_number 1
_cell_length_a 7.6019
_cell_length_b 7.6019
_cell_length_c 4.6258
_cell_angle_alpha 90.00
_cell_angle_beta 90.00
_cell_angle_gamma 120.00
loop_
_symmetry_equiv_pos_as_xyz
'x,y,z'
loop_
_atom_site_label
_atom_site_type_symbol
_atom_site_fract_x
_atom_site_fract_y
_atom_site_fract_z
_atom_site_occupancy
La1 La 0.0000 0.5775 0.0000 1
La2 La 0.4225 0.4225 0.0000 1
La3 La 0.5775 0.0000 0.0000 1
Mg1 Mg 0.0000 0.2418 0.5000 1
Mg2 Mg 0.2418 0.0000 0.5000 1
Mg3 Mg 0.7582 0.7582 0.5000 1
Ga1 Ga 0.0000 0.0000 0.0000 1
Ga2 Ga 0.3333 0.6667 0.5000 1
Ga3 Ga 0.6667 0.3333 0.5000 1
```